No. 1
For La6Co3Br, a crystal structure in Alexandria, relaxed with PBE gives the calculated powder X-ray diffraction pattern in this record (Cu Ka).
Lines closer than 0.1° are merged.

Largest 10 diffraction maxima, in order of falling intensity, 2θ from 10° to 90°:
2θ/deg	I (rel.)	index
30.07	100	0 4 -2
44.46	70	2 0 0
28.38	67	1 -2 2
28.00	57	1 2 0
30.25	53	1 0 -3
33.51	52	-1 3 1
39.58	49	1 0 4
27.74	48	-1 1 2
52.61	44	1 -6 4
32.15	43	0 4 -3

Structure:
a b c (Å): 4.098 12.032 12.469
angles (deg): 109.77 94.02 92.79
Space group P-1 (No. 2)
Inequivalent atoms, fractional coordinates:
La (0.177, 0.069, 0.338)
La (0.214, 0.462, 0.109)
La (0.218, 0.898, 0.035)
La (0.254, 0.414, 0.569)
La (0.286, 0.238, 0.808)
La (0.321, 0.717, 0.758)
Co (0.212, 0.423, 0.341)
Co (0.257, 0.669, 0.033)
Co (0.279, 0.990, 0.809)
Br (0.235, 0.839, 0.430)

***

No. 2
For La8Co3PBr4, a crystal structure in Alexandria, relaxed with PBE gives the calculated powder X-ray diffraction pattern in this record (Cu Ka).
Lines closer than 0.1° are merged.

Largest 10 diffraction maxima, in order of falling intensity, 2θ from 10° to 90°:
2θ/deg	I (rel.)	index
29.54	100	2 2 -2
28.40	64	4 0 0
39.82	44	2 2 2
43.02	42	6 2 -2
53.68	20	4 4 0
44.55	19	0 4 0
26.09	17	2 2 0
34.68	17	0 0 3
31.47	16	2 2 1
11.40	15	0 0 1

Structure:
a b c (Å): 14.740 8.135 9.100
angles (deg): 90.00 121.49 90.00
Space group C2/m (No. 12)
Inequivalent atoms, fractional coordinates:
La (0.015, 0.235, 0.303)
La (0.238, 0.500, 0.689)
La (0.240, 0.000, 0.694)
Co (0.000, 0.000, 0.500)
Co (0.250, 0.250, 0.500)
P (0.000, 0.500, 0.500)
Br (0.000, 0.000, 0.000)
Br (0.000, 0.500, 0.000)
Br (0.250, 0.250, 0.000)

***

No. 3
For Rb2LaCoBr6, a crystal structure in Alexandria, relaxed with PBE gives the calculated powder X-ray diffraction pattern in this record (Cu Ka).
Lines closer than 0.1° are merged.

Largest 10 diffraction maxima, in order of falling intensity, 2θ from 10° to 90°:
2θ/deg	I (rel.)	index
32.22	100	4 0 0
46.21	70	4 4 0
27.81	57	2 2 2
22.63	30	2 2 0
76.71	29	8 4 0
15.95	29	2 0 0
57.45	24	4 4 4
54.80	23	6 2 2
85.64	22	8 4 4
36.15	13	4 2 0

Structure:
a b c (Å): 11.113 11.113 11.113
angles (deg): 90.00 90.00 90.00
Space group Fm-3m (No. 225)
Inequivalent atoms, fractional coordinates:
Rb (0.250, 0.250, 0.250)
La (0.000, 0.000, 0.000)
Co (0.000, 0.000, 0.500)
Br (0.000, 0.000, 0.263)

***

No. 4
For La4CoSe2Br, a crystal structure in Alexandria, relaxed with PBE gives the calculated powder X-ray diffraction pattern in this record (Cu Ka).
Lines closer than 0.1° are merged.

Largest 10 diffraction maxima, in order of falling intensity, 2θ from 10° to 90°:
2θ/deg	I (rel.)	index
29.64	100	1 1 1
28.95	56	2 0 -2
42.01	39	3 1 -1
41.82	38	1 1 -3
53.36	20	2 2 -2
43.80	18	0 2 0
41.00	17	2 0 2
25.95	12	1 1 -1
61.55	10	2 2 2
51.13	9	4 0 0

Structure:
a b c (Å): 7.556 4.134 7.602
angles (deg): 90.00 108.97 90.00
Space group P2/m (No. 10)
Inequivalent atoms, fractional coordinates:
La (0.220, 0.000, 0.213)
La (0.258, 0.500, 0.763)
Co (0.000, 0.500, 0.000)
Se (0.500, 0.000, 0.000)
Se (0.500, 0.500, 0.500)
Br (0.000, 0.000, 0.500)

***

No. 5
For LiCoBr3, a crystal structure in Alexandria, relaxed with PBE gives the calculated powder X-ray diffraction pattern in this record (Cu Ka).
Lines closer than 0.1° are merged.

Largest 10 diffraction maxima, in order of falling intensity, 2θ from 10° to 90°:
2θ/deg	I (rel.)	index
28.89	100	1 3 1
29.32	67	0 7 1
14.72	60	0 4 0
27.16	50	0 0 2
13.98	48	0 1 1
27.28	45	1 4 0
44.24	42	1 10 0
49.08	33	1 3 3
38.88	31	1 4 2
24.02	30	1 2 0

Structure:
a b c (Å): 3.893 24.067 6.567
angles (deg): 90.00 90.00 90.00
Space group Ama2 (No. 40)
Inequivalent atoms, fractional coordinates:
Li (0.250, 0.189, 0.000)
Co (0.250, 0.371, 0.958)
Br (0.250, 0.078, 0.341)
Br (0.250, 0.283, 0.782)
Br (0.250, 0.367, 0.319)

***

No. 6
For Li2CoBr4, a crystal structure in Alexandria, relaxed with PBE gives the calculated powder X-ray diffraction pattern in this record (Cu Ka).
Lines closer than 0.1° are merged.

Largest 10 diffraction maxima, in order of falling intensity, 2θ from 10° to 90°:
2θ/deg	I (rel.)	index
25.44	100	1 1 2
42.92	32	2 0 4
48.48	28	3 1 2
16.11	26	1 0 1
28.37	21	2 0 0
40.55	19	2 2 0
15.61	11	0 0 2
52.57	11	1 1 6
75.41	9	4 2 4
68.43	9	3 1 6

Structure:
a b c (Å): 6.292 6.292 11.350
angles (deg): 90.00 90.00 90.00
Space group I-42m (No. 121)
Inequivalent atoms, fractional coordinates:
Li (0.000, 0.500, 0.000)
Co (0.000, 0.000, 0.000)
Br (0.229, 0.229, 0.113)

***

No. 7
For Co4MoBr, a crystal structure in Alexandria, relaxed with PBE gives the calculated powder X-ray diffraction pattern in this record (Cu Ka).
Lines closer than 0.1° are merged.

Largest 8 diffraction maxima, in order of falling intensity, 2θ from 10° to 90°:
2θ/deg	I (rel.)	index
44.10	100	3 1 1
37.35	42	2 2 0
72.06	29	3 3 3
46.17	28	2 2 2
79.64	23	4 4 0
67.36	14	4 2 2
53.85	1	4 0 0
22.61	1	1 1 1

Structure:
a b c (Å): 6.810 6.810 6.810
angles (deg): 90.00 90.00 90.00
Space group F-43m (No. 216)
Inequivalent atoms, fractional coordinates:
Co (0.124, 0.124, 0.124)
Mo (0.250, 0.250, 0.750)
Br (0.000, 0.000, 0.500)

***

No. 8
For CoBr2N, a crystal structure in Alexandria, relaxed with PBE gives the calculated powder X-ray diffraction pattern in this record (Cu Ka).
Lines closer than 0.1° are merged.

Largest 10 diffraction maxima, in order of falling intensity, 2θ from 10° to 90°:
2θ/deg	I (rel.)	index
30.33	100	1 1 1
35.43	84	2 0 -3
48.71	42	0 2 0
28.24	32	0 0 3
53.18	31	1 1 -5
49.71	30	3 1 -2
44.82	28	2 0 3
31.79	22	1 1 -2
42.30	18	1 1 3
61.66	16	2 2 -3

Structure:
a b c (Å): 6.479 3.737 9.741
angles (deg): 90.00 102.97 90.00
Space group P2_1 (No. 4)
Inequivalent atoms, fractional coordinates:
Co (0.250, 0.000, 0.000)
Br (0.032, 0.500, 0.850)
Br (0.467, 0.500, 0.150)
N (0.249, 0.499, 0.499)